For La4Sm8Pu, DFT lattice parameters and positions (GGA-PBE) gives the computed powder XRD pattern in this record (Cu Kα, 1.54184 Å).

Atomic structure:
Cell lengths 7.838, 7.838, 7.838 Å; angles 98.01, 98.01, 98.01 degrees
Fractional positions:
La1 0.000 0.000 0.000
La2 0.000 0.500 0.500
La3 0.500 0.000 0.500
La4 0.500 0.500 0.000
Sm1 0.163 0.163 0.669
Sm2 0.163 0.669 0.163
Sm3 0.244 0.244 0.244
Sm4 0.331 0.837 0.837
Sm5 0.669 0.163 0.163
Sm6 0.756 0.756 0.756
Sm7 0.837 0.331 0.837
Sm8 0.837 0.837 0.331
Pu1 0.500 0.500 0.500

Top 10 peaks for 5° ≤ 2θ ≤ 70°, by angle:
2θ/deg	Rel. int.
23.14	23
27.68	21
30.21	100
32.26	11
35.15	11
38.40	37
38.95	11
53.67	20
57.16	16
62.83	12